Simulated powder X-ray diffraction pattern
Compound: TbNi2O4
Radiation: a wavelength of 1.5418 Å
Structure: a structure optimized by DFT (PBE+U)
Peak positions follow from Bragg's law for the DFT cell and can differ from measured ones.

Largest 8 diffraction maxima, sorted by position, 10 to 90 degrees two-theta:
- 2θ 26.1, I 50
- 2θ 32.2, I 100
- 2θ 32.5, I 40
- 2θ 42.6, I 40
- 2θ 50.0, I 45
- 2θ 50.3, I 32
- 2θ 53.7, I 23
- 2θ 68.1, I 20

Crystal structure
```
TbNi2O4
1.0
-3.4149 3.4149 3.3508
3.4149 -3.4149 3.3508
3.4149 3.4149 -3.3508
Tb Ni O
2 4 8
Direct
0.3750 0.6250 0.7500
0.6250 0.3750 0.2500
0.0000 0.0000 0.0000
0.0000 0.0000 0.5000
0.0000 0.5000 0.0000
0.5000 0.0000 0.5000
0.1417 0.7087 0.4330
0.2242 0.2913 0.9330
0.2913 0.2242 0.4330
0.2913 0.8583 0.0670
0.7087 0.1417 0.9330
0.7087 0.7758 0.5670
0.7758 0.7087 0.0670
0.8583 0.2913 0.5670
```